No. 1
BaZn2H: theoretical powder diffractogram (CuKα), based on a structure optimized by DFT (GGA-PBE).

Lattice parameters (Å, degrees): 6.182 6.182 6.182 119.92 119.92 90.14
Sites, in units of the cell vectors:
Ba 0.375 0.625 0.750
Ba 0.625 0.375 0.250
Zn 0.000 0.000 0.000
Zn 0.000 0.000 0.500
Zn 0.000 0.500 0.000
Zn 0.500 0.000 0.500
H 0.125 0.875 0.250
H 0.875 0.125 0.750

Top 12 peaks for 10° ≤ 2θ ≤ 90°, sorted by position:
d [Å]	two_theta	I/Imax
3.092	28.9	51
2.637	34.0	100
2.525	35.6	23
1.785	51.2	20
1.684	54.5	25
1.681	54.6	8
1.546	59.8	27
1.384	67.7	6
1.334	70.6	11
1.319	71.5	5
1.169	82.5	7
1.139	85.2	12

No. 2
AcRuO5: theoretical powder diffractogram (CuKα), based on a structure optimized by DFT (GGA-PBE).

Lattice parameters (Å, degrees): 8.066 8.066 4.543 90.00 90.00 90.00
Sites, in units of the cell vectors:
Ac 0.250 0.250 0.247
Ac 0.750 0.750 0.753
Ru 0.250 0.750 0.500
Ru 0.750 0.250 0.500
O 0.072 0.750 0.726
O 0.250 0.250 0.748
O 0.250 0.572 0.274
O 0.250 0.928 0.274
O 0.428 0.750 0.726
O 0.572 0.250 0.274
O 0.750 0.072 0.726
O 0.750 0.428 0.726
O 0.750 0.750 0.252
O 0.928 0.250 0.274

Top 12 peaks for 10° ≤ 2θ ≤ 90°, sorted by position:
d [Å]	two_theta	I/Imax
5.704	15.5	17
4.033	22.0	100
3.958	22.5	73
2.852	31.4	29
2.825	31.7	35
2.314	38.9	26
2.110	42.9	27
2.017	45.0	16
2.007	45.2	23
1.804	50.6	17
1.696	54.1	35
1.520	60.9	15

No. 3
As2H3Pd8: theoretical powder diffractogram (CuKα), based on a structure optimized by DFT (GGA-PBE).

Lattice parameters (Å, degrees): 6.489 6.489 5.536 107.23 107.23 53.08
Sites, in units of the cell vectors:
As 0.245 0.245 0.202
As 0.755 0.755 0.798
H 0.207 0.793 0.500
H 0.500 0.500 0.000
H 0.793 0.207 0.500
Pd 0.112 0.112 0.457
Pd 0.151 0.643 0.106
Pd 0.357 0.849 0.894
Pd 0.383 0.383 0.636
Pd 0.617 0.617 0.364
Pd 0.643 0.151 0.106
Pd 0.849 0.357 0.894
Pd 0.888 0.888 0.543

Top 12 peaks for 10° ≤ 2θ ≤ 90°, sorted by position:
d [Å]	two_theta	I/Imax
2.738	32.7	100
2.535	35.4	97
2.488	36.1	23
2.456	36.6	20
2.310	39.0	40
2.172	41.6	67
2.103	43.0	56
2.030	44.6	87
1.727	53.0	19
1.556	59.4	37
1.450	64.2	21
1.281	74.0	21

No. 4
Tb7GaS5: theoretical powder diffractogram (CuKα), based on a structure optimized by DFT (GGA-PBE).

Lattice parameters (Å, degrees): 3.919 23.453 6.787 90.00 106.70 90.00
Sites, in units of the cell vectors:
Tb 0.027 0.250 0.053
Tb 0.137 0.536 0.274
Tb 0.137 0.964 0.274
Tb 0.317 0.176 0.635
Tb 0.317 0.324 0.635
Tb 0.409 0.611 0.817
Tb 0.409 0.889 0.817
Tb 0.591 0.111 0.183
Tb 0.591 0.389 0.183
Tb 0.683 0.676 0.365
Tb 0.683 0.824 0.365
Tb 0.863 0.036 0.726
Tb 0.863 0.464 0.726
Tb 0.973 0.750 0.947
Ga 0.303 0.750 0.607
Ga 0.697 0.250 0.393
S 0.048 0.641 0.095
S 0.048 0.859 0.095
S 0.226 0.071 0.452
S 0.226 0.429 0.452
S 0.500 0.000 0.000
S 0.500 0.500 0.000
S 0.774 0.571 0.548
S 0.774 0.929 0.548
S 0.952 0.141 0.905
S 0.952 0.359 0.905

Top 12 peaks for 10° ≤ 2θ ≤ 90°, sorted by position:
d [Å]	two_theta	I/Imax
3.220	27.7	24
3.160	28.2	54
2.978	30.0	100
2.930	30.5	25
2.821	31.7	92
2.724	32.9	57
2.672	33.5	24
1.989	45.6	23
1.967	46.1	46
1.959	46.3	32
1.675	54.8	35
1.637	56.2	34

No. 5
Th4P2SeS: theoretical powder diffractogram (CuKα), based on a structure optimized by DFT (GGA-PBE).

Lattice parameters (Å, degrees): 7.142 4.158 7.157 90.00 109.66 90.00
Sites, in units of the cell vectors:
Th 0.237 0.000 0.240
Th 0.241 0.500 0.753
Th 0.759 0.500 0.247
Th 0.763 0.000 0.760
P 0.000 0.000 0.500
P 0.000 0.500 0.000
Se 0.500 0.500 0.500
S 0.500 0.000 0.000

Top 12 peaks for 10° ≤ 2θ ≤ 90°, sorted by position:
d [Å]	two_theta	I/Imax
3.388	26.3	43
3.366	26.5	42
2.925	30.6	100
2.079	43.5	13
2.068	43.8	50
2.059	44.0	12
1.769	51.7	15
1.759	52.0	17
1.694	54.1	14
1.462	63.6	12
1.308	72.2	11
1.307	72.3	11